Entry 1:
For Ag3Pt4, DFT lattice parameters and positions (PBE) gives the calculated powder diffractogram in this record (Cu Kα).
No peak broadening, texture or thermal motion is included.

Peak list (10 most intense, 2θ from 10° to 90°, in order of rising 2θ)
d_spacing, 2theta, intensity
6.318, 14.02, 3.8
4.453, 19.94, 1.6
2.329, 38.66, 100.0
2.020, 44.87, 33.7
2.011, 45.07, 16.2
1.428, 65.33, 10.5
1.425, 65.49, 20.9
1.218, 78.57, 24.8
1.214, 78.85, 12.3
1.165, 82.90, 10.9

Cell and atoms:
Cell: 8.999 4.041 6.384 Å, 90.00 98.25 90.00°
Element x y z (fractional)
Ag 0.000 0.000 0.000
Ag 0.075 0.500 0.715
Ag 0.362 0.500 0.575
Ag 0.500 0.500 0.000
Ag 0.575 0.000 0.715
Ag 0.862 0.000 0.575
Pt 0.150 0.000 0.422
Pt 0.220 0.500 0.151
Pt 0.283 0.000 0.864
Pt 0.435 0.000 0.284
Pt 0.650 0.500 0.422
Pt 0.720 0.000 0.151
Pt 0.783 0.500 0.864
Pt 0.935 0.500 0.284

***

Entry 2:
For AgPt, DFT lattice parameters and positions (PBE) gives the calculated powder diffractogram in this record (Cu Kα).
No peak broadening, texture or thermal motion is included.

Peak list (10 most intense, 2θ from 10° to 90°, in order of rising 2θ)
d_spacing, 2theta, intensity
8.103, 10.92, 11.6
3.937, 22.58, 3.9
2.533, 35.44, 2.3
2.342, 38.44, 100.0
2.028, 44.68, 48.7
1.968, 46.14, 4.4
1.434, 65.03, 31.0
1.224, 78.11, 25.0
1.222, 78.23, 11.5
1.171, 82.35, 10.7

Cell and atoms:
Cell: 4.059 4.059 16.206 Å, 90.00 90.00 90.00°
Element x y z (fractional)
Ag 0.000 0.000 0.125
Ag 0.000 0.000 0.875
Ag 0.000 0.500 0.250
Ag 0.000 0.500 0.750
Ag 0.500 0.000 0.250
Ag 0.500 0.000 0.750
Ag 0.500 0.500 0.375
Ag 0.500 0.500 0.625
Pt 0.000 0.000 0.382
Pt 0.000 0.000 0.618
Pt 0.000 0.500 0.000
Pt 0.000 0.500 0.500
Pt 0.500 0.000 0.000
Pt 0.500 0.000 0.500
Pt 0.500 0.500 0.118
Pt 0.500 0.500 0.882

***

Entry 3:
For Ag5Pt, DFT lattice parameters and positions (PBE) gives the calculated powder diffractogram in this record (Cu Kα).
No peak broadening, texture or thermal motion is included.

Peak list (10 most intense, 2θ from 10° to 90°, in order of rising 2θ)
d_spacing, 2theta, intensity
6.143, 14.42, 3.4
3.926, 22.65, 2.0
2.374, 37.90, 100.0
2.071, 43.70, 16.6
2.048, 44.22, 31.9
1.456, 63.92, 20.5
1.448, 64.32, 10.0
1.247, 76.41, 12.1
1.236, 77.15, 23.6
1.187, 81.01, 10.4

Cell and atoms:
Cell: 4.143 12.286 4.098 Å, 90.00 90.00 90.00°
Element x y z (fractional)
Ag 0.000 0.000 0.000
Ag 0.000 0.165 0.500
Ag 0.000 0.336 0.000
Ag 0.000 0.664 0.000
Ag 0.000 0.835 0.500
Ag 0.500 0.164 0.000
Ag 0.500 0.335 0.500
Ag 0.500 0.500 0.000
Ag 0.500 0.665 0.500
Ag 0.500 0.836 0.000
Pt 0.000 0.500 0.500
Pt 0.500 0.000 0.500

***

Entry 4:
For Ag4Pt3, DFT lattice parameters and positions (PBE) gives the calculated powder diffractogram in this record (Cu Kα).
No peak broadening, texture or thermal motion is included.

Peak list (10 most intense, 2θ from 10° to 90°, in order of rising 2θ)
d_spacing, 2theta, intensity
4.806, 18.46, 6.0
3.799, 23.42, 3.3
3.103, 28.77, 1.8
2.345, 38.39, 100.0
2.031, 44.62, 49.2
1.996, 45.44, 1.3
1.476, 62.97, 1.2
1.436, 64.94, 30.9
1.225, 78.03, 36.4
1.173, 82.22, 10.6

Cell and atoms:
Cell: 4.974 4.974 4.974 Å, 99.58 99.58 99.58°
Element x y z (fractional)
Ag 0.000 0.000 0.000
Ag 0.421 0.712 0.853
Ag 0.712 0.853 0.421
Ag 0.853 0.421 0.712
Pt 0.136 0.561 0.290
Pt 0.290 0.136 0.561
Pt 0.561 0.290 0.136

***

Entry 5:
For Ag5Pt7, DFT lattice parameters and positions (PBE) gives the calculated powder diffractogram in this record (Cu Kα).
No peak broadening, texture or thermal motion is included.

Peak list (10 most intense, 2θ from 10° to 90°, in order of rising 2θ)
d_spacing, 2theta, intensity
2.330, 38.63, 100.0
2.047, 44.24, 17.0
2.026, 44.72, 16.3
1.983, 45.76, 16.1
1.440, 64.73, 10.6
1.424, 65.54, 10.5
1.230, 77.64, 12.9
1.221, 78.34, 12.0
1.201, 79.84, 12.3
1.165, 82.85, 11.2

Cell and atoms:
Cell: 6.454 6.454 8.105 Å, 90.00 90.00 144.22°
Element x y z (fractional)
Ag 0.000 0.000 0.000
Ag 0.000 0.000 0.496
Ag 0.333 0.667 0.999
Ag 0.500 0.500 0.250
Ag 0.667 0.333 0.999
Pt 0.165 0.835 0.743
Pt 0.172 0.828 0.261
Pt 0.332 0.668 0.504
Pt 0.500 0.500 0.744
Pt 0.668 0.332 0.504
Pt 0.828 0.172 0.261
Pt 0.835 0.165 0.743

***

Entry 6:
For Ag5Pt3, DFT lattice parameters and positions (PBE) gives the calculated powder diffractogram in this record (Cu Kα).
No peak broadening, texture or thermal motion is included.

Peak list (10 most intense, 2θ from 10° to 90°, in order of rising 2θ)
d_spacing, 2theta, intensity
4.752, 18.67, 8.4
2.376, 37.87, 34.9
2.338, 38.51, 100.0
2.033, 44.58, 65.7
1.446, 64.44, 21.5
1.429, 65.32, 20.6
1.235, 77.24, 12.7
1.224, 78.05, 24.8
1.219, 78.46, 12.2
1.169, 82.54, 10.8

Cell and atoms:
Cell: 5.785 5.785 5.785 Å, 59.20 59.20 59.20°
Element x y z (fractional)
Ag 0.000 0.000 0.000
Ag 0.000 0.500 0.500
Ag 0.500 0.000 0.500
Ag 0.500 0.500 0.000
Ag 0.500 0.500 0.500
Pt 0.000 0.000 0.500
Pt 0.000 0.500 0.000
Pt 0.500 0.000 0.000

***

Entry 7:
For Ag5Pt7, DFT lattice parameters and positions (PBE) gives the calculated powder diffractogram in this record (Cu Kα).
No peak broadening, texture or thermal motion is included.

Peak list (10 most intense, 2θ from 10° to 90°, in order of rising 2θ)
d_spacing, 2theta, intensity
7.666, 11.54, 7.2
2.328, 38.67, 100.0
2.018, 44.92, 32.6
2.014, 45.01, 16.2
1.427, 65.39, 15.8
1.425, 65.49, 10.5
1.218, 78.53, 6.2
1.216, 78.69, 24.9
1.214, 78.87, 6.1
1.166, 82.81, 5.5

Cell and atoms:
Cell: 6.363 4.034 8.074 Å, 90.00 108.29 90.00°
Element x y z (fractional)
Ag 0.000 0.000 0.000
Ag 0.004 0.500 0.750
Ag 0.333 0.500 0.084
Ag 0.667 0.500 0.916
Ag 0.996 0.500 0.250
Pt 0.000 0.000 0.500
Pt 0.334 0.500 0.581
Pt 0.336 0.000 0.342
Pt 0.342 0.000 0.828
Pt 0.658 0.000 0.172
Pt 0.664 0.000 0.658
Pt 0.666 0.500 0.419

***

Entry 8:
For Ag5Pt7, DFT lattice parameters and positions (PBE) gives the calculated powder diffractogram in this record (Cu Kα).
No peak broadening, texture or thermal motion is included.

Peak list (10 most intense, 2θ from 10° to 90°, in order of rising 2θ)
d_spacing, 2theta, intensity
6.706, 13.20, 6.4
2.329, 38.66, 100.0
2.021, 44.84, 16.6
2.015, 44.99, 32.2
1.427, 65.40, 21.0
1.425, 65.52, 10.3
1.218, 78.52, 12.7
1.215, 78.73, 12.0
1.215, 78.75, 12.4
1.164, 82.91, 10.8

Cell and atoms:
Cell: 7.540 7.540 7.540 Å, 148.90 115.38 73.45°
Element x y z (fractional)
Ag 0.000 0.000 0.000
Ag 0.082 0.832 0.250
Ag 0.163 0.663 0.500
Ag 0.327 0.327 0.000
Ag 0.582 0.832 0.750
Pt 0.259 0.501 0.758
Pt 0.424 0.163 0.262
Pt 0.500 0.000 0.500
Pt 0.666 0.666 0.000
Pt 0.743 0.501 0.242
Pt 0.835 0.335 0.500
Pt 0.901 0.163 0.738